# 1
ZnAu: theoretical powder X-ray diffraction pattern (Cu Kα), based on the GGA-PBE geometry in OQMD.

Structural model:
```
8
Lattice="4.5677 0.0000 0.0000 0.0000 5.8538 0.0000 0.0000 0.0000 4.9283" Properties=species:S:1:pos:R:3 pbc="T T T"
Zn 0.0000 0.0000 0.0000
Zn 0.0000 1.4383 2.5757
Zn 0.0000 4.4155 2.5757
Zn 2.2838 0.0000 3.3658
Au 0.0000 2.9269 0.1290
Au 2.2838 1.3808 0.9068
Au 2.2838 2.9269 3.2954
Au 2.2838 4.4730 0.9068
```

Largest 10 diffraction maxima, in order of rising 2θ, 5° ≤ 2θ ≤ 70°:
2θ = 15.1°, intensity 14
2θ = 19.4°, intensity 11
2θ = 30.8°, intensity 18
2θ = 35.7°, intensity 25
2θ = 36.5°, intensity 19
2θ = 39.5°, intensity 36
2θ = 40.9°, intensity 100
2θ = 41.6°, intensity 44
2θ = 54.2°, intensity 15
2θ = 65.1°, intensity 16



# 2
Cu2Ag3: theoretical powder X-ray diffraction pattern (Cu Kα), based on the GGA-PBE geometry in OQMD.

Structural model:
```
10
Lattice="4.6653 -1.4263 0.0000 4.6653 1.4263 0.0000 -1.9768 0.0000 11.6863" Properties=species:S:1:pos:R:3 pbc="T T T"
Cu 0.0000 0.0000 0.0000
Cu 0.9141 0.0000 4.8806
Cu 3.6769 0.0000 5.8431
Cu 6.4397 0.0000 6.8057
Ag -0.2785 0.0000 7.9487
Ag 2.6064 0.0000 1.1852
Ag 2.2367 0.0000 9.2460
Ag 5.1170 0.0000 2.4402
Ag 4.7474 0.0000 10.5011
Ag 7.6322 0.0000 3.7376
```

Largest 10 diffraction maxima, in order of rising 2θ, 5° ≤ 2θ ≤ 70°:
2θ = 33.4°, intensity 7
2θ = 39.2°, intensity 55
2θ = 39.4°, intensity 100
2θ = 39.6°, intensity 46
2θ = 40.3°, intensity 9
2θ = 44.9°, intensity 73
2θ = 47.6°, intensity 22
2θ = 65.4°, intensity 22
2θ = 67.2°, intensity 17
2θ = 67.8°, intensity 13



# 3
YGaNiHg: theoretical powder X-ray diffraction pattern (Cu Kα), based on the GGA-PBE geometry in OQMD.

Structural model:
```
4
Lattice="0.0000 3.3715 3.3715 3.3715 0.0000 3.3715 3.3715 3.3715 0.0000" Properties=species:S:1:pos:R:3 pbc="T T T"
Y 0.0000 0.0000 0.0000
Ga 3.3715 3.3715 3.3715
Ni 5.0572 5.0572 5.0572
Hg 1.6857 1.6857 1.6857
```

Largest 9 diffraction maxima, in order of rising 2θ, 5° ≤ 2θ ≤ 70°:
2θ = 22.8°, intensity 23
2θ = 26.4°, intensity 7
2θ = 37.7°, intensity 100
2θ = 44.6°, intensity 13
2θ = 46.7°, intensity 2
2θ = 54.4°, intensity 17
2θ = 59.8°, intensity 6
2θ = 61.5°, intensity 3
2θ = 68.1°, intensity 34



# 4
DyLuZn2Ge2: theoretical powder X-ray diffraction pattern (Cu Kα), based on the GGA-PBE geometry in OQMD.

Structural model:
```
12
Lattice="4.2274 0.0000 0.0000 -2.1137 3.6611 0.0000 0.0000 0.0000 15.3806" Properties=species:S:1:pos:R:3 pbc="T T T"
Dy 0.0000 0.0000 3.8452
Dy 0.0000 0.0000 11.5355
Lu 0.0000 0.0000 0.0000
Lu 0.0000 0.0000 7.6903
Zn 0.0000 2.4407 2.2776
Zn 0.0000 2.4407 5.4127
Zn 2.1137 1.2204 9.9679
Zn 2.1137 1.2204 13.1030
Ge 0.0000 2.4407 9.3982
Ge 0.0000 2.4407 13.6727
Ge 2.1137 1.2204 1.7079
Ge 2.1137 1.2204 5.9824
```

Largest 10 diffraction maxima, in order of rising 2θ, 5° ≤ 2θ ≤ 70°:
2θ = 24.3°, intensity 18
2θ = 30.0°, intensity 3
2θ = 33.8°, intensity 100
2θ = 42.8°, intensity 48
2θ = 47.3°, intensity 8
2θ = 48.3°, intensity 4
2θ = 49.8°, intensity 3
2θ = 53.9°, intensity 8
2θ = 55.6°, intensity 24
2θ = 65.6°, intensity 17



# 5
BaSrHg2Bi4: theoretical powder X-ray diffraction pattern (Cu Kα), based on the GGA-PBE geometry in OQMD.

Structural model:
```
8
Lattice="-2.4425 2.4425 10.6487 2.4425 -2.4425 10.6487 2.4425 2.4425 -10.6487" Properties=species:S:1:pos:R:3 pbc="T T T"
Ba 0.0000 0.0000 0.0000
Sr 0.0000 0.0000 15.9234
Hg 2.4425 0.0000 2.7899
Hg 0.0000 2.4425 2.7899
Bi 0.0000 0.0000 4.9248
Bi 2.4425 0.0000 7.8832
Bi 0.0000 0.0000 11.3781
Bi 0.0000 2.4425 7.8832
```

Largest 10 diffraction maxima, in order of rising 2θ, 5° ≤ 2θ ≤ 70°:
2θ = 22.1°, intensity 8
2θ = 30.9°, intensity 100
2θ = 33.7°, intensity 13
2θ = 36.8°, intensity 36
2θ = 50.7°, intensity 17
2θ = 53.0°, intensity 13
2θ = 57.4°, intensity 6
2θ = 58.5°, intensity 6
2θ = 62.6°, intensity 27
2θ = 64.3°, intensity 9



# 6
Tb2S2O: theoretical powder X-ray diffraction pattern (Cu Kα), based on the GGA-PBE geometry in OQMD.

Structural model:
```
20
Lattice="8.2942 0.0000 0.0000 0.0000 6.9399 0.0000 -1.1081 0.0000 6.7900" Properties=species:S:1:pos:R:3 pbc="T T T"
Tb 0.2818 0.9870 2.1675
Tb -0.2723 2.4829 5.5625
Tb 2.7312 3.8464 1.6942
Tb 2.1772 6.5633 5.0892
Tb 5.0090 0.3765 1.7008
Tb 4.4549 3.0934 5.0958
Tb 7.4584 4.4569 1.2275
Tb 6.9044 5.9529 4.6225
S 0.8598 4.4105 3.8941
S 1.4138 5.9993 0.4991
S 2.9888 1.5496 3.1921
S 2.4348 1.9204 6.5871
S 4.7514 5.0195 0.2029
S 4.1973 5.3903 3.5979
S 5.7723 0.9405 6.2909
S 6.3263 2.5294 2.8959
O 0.2519 0.6050 4.4074
O 0.8059 2.8650 1.0124
O 6.3802 4.0749 5.7776
O 6.9342 6.3349 2.3826
```

Largest 10 diffraction maxima, in order of rising 2θ, 5° ≤ 2θ ≤ 70°:
2θ = 20.2°, intensity 34
2θ = 25.3°, intensity 26
2θ = 26.2°, intensity 41
2θ = 26.8°, intensity 54
2θ = 28.9°, intensity 65
2θ = 30.1°, intensity 100
2θ = 38.9°, intensity 28
2θ = 39.3°, intensity 26
2θ = 41.7°, intensity 25
2θ = 55.1°, intensity 27